No. 1
This entry pairs a crystal structure of Sm8PdPt2 with its theoretical X-ray diffraction stick pattern. Radiation: copper Kα. Structure: a cell relaxed with PBE.

Largest 12 diffraction maxima, by angle, 10 to 90 degrees two-theta:
2theta	I_rel
15.11	40
29.76	34
29.89	100
30.48	46
31.73	62
32.46	73
33.60	58
34.49	46
35.59	41
38.12	42
38.40	63
39.33	37

Cell and atoms:
```
Sm8PdPt2
1.0
4.285 -6.434 0.000
4.285 6.434 0.000
-1.958 0.000 5.862
Sm Pd Pt
8 1 2
Direct
0.000 0.000 0.000
0.026 0.286 0.581
0.151 0.584 0.185
0.286 0.026 0.581
0.447 0.707 0.802
0.584 0.151 0.185
0.707 0.447 0.802
0.726 0.726 0.368
0.356 0.356 0.010
0.052 0.678 0.683
0.678 0.052 0.683
```

No. 2
This entry pairs a crystal structure of AcRe2SiC with its theoretical X-ray diffraction stick pattern. Radiation: copper Kα. Structure: a cell relaxed with PBE.

Largest 12 diffraction maxima, by angle, 10 to 90 degrees two-theta:
2theta	I_rel
25.70	35
28.84	51
32.34	100
33.16	92
34.55	60
39.70	35
43.07	27
43.26	37
52.81	33
56.50	20
60.14	48
72.90	17

Cell and atoms:
```
AcRe2SiC
1.0
2.092 -5.539 0.000
2.092 5.539 0.000
0.000 0.000 7.468
Ac Re Si C
2 4 2 2
Direct
0.044 0.956 0.750
0.956 0.044 0.250
0.325 0.675 0.561
0.325 0.675 0.939
0.675 0.325 0.061
0.675 0.325 0.439
0.234 0.766 0.250
0.766 0.234 0.750
0.500 0.500 0.000
0.500 0.500 0.500
```

No. 3
This entry pairs a crystal structure of Tb7Al2Pb2 with its theoretical X-ray diffraction stick pattern. Radiation: copper Kα. Structure: a cell relaxed with PBE.

Largest 12 diffraction maxima, by angle, 10 to 90 degrees two-theta:
2theta	I_rel
11.27	22
25.77	51
26.68	62
27.69	54
28.07	43
31.75	71
35.05	35
36.36	100
37.90	23
41.33	28
57.18	19
59.60	24

Cell and atoms:
```
Tb7Al2Pb2
1.0
3.850 -5.636 0.000
3.850 5.636 0.000
0.000 0.000 7.853
Tb Al Pb
7 2 2
Direct
0.000 0.000 0.000
0.000 0.500 0.281
0.000 0.500 0.719
0.500 0.000 0.281
0.500 0.000 0.719
0.500 0.500 0.225
0.500 0.500 0.775
0.280 0.720 0.000
0.720 0.280 0.000
0.198 0.198 0.500
0.802 0.802 0.500
```

No. 4
This entry pairs a crystal structure of Dy8Er3Th2 with its theoretical X-ray diffraction stick pattern. Radiation: copper Kα. Structure: a cell relaxed with PBE.

Largest 12 diffraction maxima, by angle, 10 to 90 degrees two-theta:
2theta	I_rel
30.98	100
31.32	99
34.80	39
35.60	33
37.91	25
50.63	22
52.98	22
59.82	14
60.42	13
61.07	15
64.00	10
64.57	22

Cell and atoms:
```
Dy8Er3Th2
1.0
6.124 0.000 0.000
1.648 7.431 0.000
2.889 0.615 18.315
Dy Er Th
16 6 4
Direct
0.000 0.021 0.322
0.000 0.979 0.678
0.112 0.556 0.076
0.114 0.531 0.739
0.232 0.095 0.815
0.336 0.659 0.887
0.369 0.648 0.562
0.446 0.217 0.963
0.450 0.176 0.614
0.550 0.824 0.386
0.554 0.783 0.037
0.631 0.352 0.438
0.664 0.341 0.113
0.768 0.905 0.185
0.886 0.469 0.261
0.888 0.444 0.924
0.000 0.000 0.000
0.000 0.000 0.500
0.332 0.685 0.226
0.430 0.244 0.290
0.570 0.756 0.710
0.668 0.315 0.774
0.089 0.567 0.414
0.220 0.119 0.147
0.780 0.881 0.853
0.911 0.433 0.586
```

No. 5
This entry pairs a crystal structure of Pm8ErSc4 with its theoretical X-ray diffraction stick pattern. Radiation: copper Kα. Structure: a cell relaxed with PBE.

Largest 12 diffraction maxima, by angle, 10 to 90 degrees two-theta:
2theta	I_rel
18.32	19
26.03	17
27.15	17
30.20	38
31.59	18
32.07	100
34.23	21
38.75	34
50.82	14
52.42	29
60.25	17
62.79	13

Cell and atoms:
```
Pm8ErSc4
1.0
3.491 2.015 9.688
-3.491 2.015 9.688
0.000 -4.031 9.688
Pm Er Sc
8 1 4
Direct
0.211 0.211 0.211
0.222 0.752 0.752
0.248 0.248 0.778
0.248 0.778 0.248
0.752 0.222 0.752
0.752 0.752 0.222
0.778 0.248 0.248
0.789 0.789 0.789
0.500 0.500 0.500
0.000 0.000 0.000
0.000 0.500 0.500
0.500 0.000 0.500
0.500 0.500 0.000
```

No. 6
This entry pairs a crystal structure of SmTm4Zn4 with its theoretical X-ray diffraction stick pattern. Radiation: copper Kα. Structure: a cell relaxed with PBE.

Largest 12 diffraction maxima, by angle, 10 to 90 degrees two-theta:
2theta	I_rel
27.63	100
30.04	59
33.67	36
35.67	47
38.27	16
38.87	97
47.30	34
49.40	14
62.41	19
62.84	23
66.23	31
85.38	15

Cell and atoms:
```
SmTm4Zn4
1.0
-4.704 4.704 2.517
4.704 -4.704 2.517
4.704 4.704 -2.517
Sm Tm Zn
1 4 4
Direct
0.000 0.000 0.000
0.107 0.650 0.757
0.350 0.107 0.457
0.650 0.893 0.543
0.893 0.350 0.243
0.316 0.420 0.736
0.420 0.684 0.104
0.580 0.316 0.896
0.684 0.580 0.264
```

No. 7
This entry pairs a crystal structure of K6MoP4 with its theoretical X-ray diffraction stick pattern. Radiation: copper Kα. Structure: a cell relaxed with PBE.

Largest 12 diffraction maxima, by angle, 10 to 90 degrees two-theta:
2theta	I_rel
10.14	78
15.01	74
24.45	29
28.47	18
29.30	100
30.29	56
32.77	33
35.14	35
35.67	65
43.61	17
50.98	28
57.57	27

Cell and atoms:
```
K6MoP4
1.0
10.069 0.000 0.000
-5.035 8.720 0.000
0.000 0.000 8.014
K Mo P
12 2 8
Direct
0.065 0.532 0.000
0.146 0.292 0.319
0.146 0.854 0.319
0.292 0.146 0.819
0.468 0.532 0.000
0.468 0.935 0.000
0.532 0.065 0.500
0.532 0.468 0.500
0.708 0.854 0.319
0.854 0.146 0.819
0.854 0.708 0.819
0.935 0.468 0.500
0.333 0.667 0.609
0.667 0.333 0.109
0.206 0.412 0.701
0.206 0.794 0.701
0.333 0.667 0.320
0.412 0.206 0.201
0.588 0.794 0.701
0.667 0.333 0.820
0.794 0.206 0.201
0.794 0.588 0.201
```

No. 8
This entry pairs a crystal structure of SiNi2Pt with its theoretical X-ray diffraction stick pattern. Radiation: copper Kα. Structure: a cell relaxed with PBE.

Largest 12 diffraction maxima, by angle, 10 to 90 degrees two-theta:
2theta	I_rel
23.82	11
24.01	30
25.08	19
34.08	28
34.86	15
41.84	27
42.78	100
48.76	18
49.17	20
55.10	15
71.76	11
87.62	12

Cell and atoms:
```
SiNi2Pt
1.0
0.000 3.706 3.736
3.551 0.000 3.736
3.551 3.706 0.000
Si Ni Pt
2 4 2
Direct
0.232 0.768 0.232
0.768 0.232 0.768
0.211 0.211 0.789
0.250 0.250 0.250
0.750 0.750 0.750
0.789 0.789 0.211
0.293 0.707 0.707
0.707 0.293 0.293
```

No. 9
This entry pairs a crystal structure of Ca2ThZrN4 with its theoretical X-ray diffraction stick pattern. Radiation: copper Kα. Structure: a cell relaxed with PBE.

Largest 12 diffraction maxima, by angle, 10 to 90 degrees two-theta:
2theta	I_rel
15.49	92
17.90	14
29.88	51
31.15	29
31.28	87
36.24	100
39.57	14
52.10	33
52.27	33
62.13	35
65.26	16
87.99	14

Cell and atoms:
```
Ca2ThZrN4
1.0
6.058 0.000 0.000
0.000 3.503 0.000
-2.019 0.000 5.742
Ca Th Zr N
2 1 1 4
Direct
0.000 0.000 0.000
0.000 0.500 0.500
0.500 0.000 0.500
0.500 0.500 0.000
0.280 0.500 0.241
0.281 0.000 0.771
0.719 0.000 0.229
0.720 0.500 0.759
```

No. 10
This entry pairs a crystal structure of LaPm3Sb4 with its theoretical X-ray diffraction stick pattern. Radiation: copper Kα. Structure: a cell relaxed with PBE.

Largest 9 diffraction maxima, by angle, 10 to 90 degrees two-theta:
2theta	I_rel
24.07	1
27.87	100
39.82	77
47.07	1
49.30	27
57.58	13
65.15	35
72.29	26
85.85	8

Cell and atoms:
```
LaPm3Sb4
1.0
4.527 -6.401 0.000
4.527 6.401 0.000
0.000 0.000 4.530
La Pm Sb
1 3 4
Direct
0.000 0.000 0.000
0.000 0.500 0.500
0.500 0.000 0.500
0.500 0.500 0.000
0.252 0.748 0.000
0.254 0.254 0.500
0.746 0.746 0.500
0.748 0.252 0.000
```